This entry pairs a crystal structure of SrSbAu with its simulated powder XRD pattern. Radiation: λ = 1.5418 Å (Cu Kα). Structure: a cell relaxed with PBE.
Kinematic intensities with the Lorentz-polarization factor, no thermal factor.

Atomic structure:
```
data_SrSbAu
_chemical_formula_sum 'Sr2 Sb2 Au2'
_cell_length_a 5.468
_cell_length_b 5.468
_cell_length_c 6.522
_cell_angle_alpha 90.00
_cell_angle_beta 90.00
_cell_angle_gamma 120.00
_symmetry_space_group_name_H-M 'P 1'
_symmetry_Int_Tables_number 1
loop_
_symmetry_equiv_pos_as_xyz
'x,y,z'
loop_
_atom_site_label
_atom_site_fract_x
_atom_site_fract_y
_atom_site_fract_z
Sr1 0.333 0.667 0.250
Sr2 0.667 0.333 0.750
Sb1 0.333 0.667 0.750
Sb2 0.667 0.333 0.250
Au1 0.000 0.000 0.000
Au2 0.000 0.000 0.500
```

Largest 8 diffraction maxima, in order of rising 2θ, 2θ from 10° to 90°:
| 2theta | I_rel |
| --- | --- |
| 18.74 | 18 |
| 32.76 | 95 |
| 33.36 | 100 |
| 47.45 | 38 |
| 58.47 | 18 |
| 58.86 | 39 |
| 66.81 | 24 |
| 78.51 | 17 |